# 1
For CaGePt3, a GGA-PBE-relaxed structure gives the simulated powder X-ray diffraction pattern in this record (CuKα).

Most intense lines, 2θ = 10–80°, by intensity:
Position (°2θ), d (Å), Rel. int., index
39.6, 2.276, 100.0, 1 2 1
35.1, 2.555, 83.1, 1 0 2
21.3, 4.173, 37.6, 1 0 -1
23.0, 3.871, 32.2, 1 1 0
32.8, 2.732, 30.3, 1 0 -2
48.5, 1.877, 29.4, 2 2 -1
16.6, 5.334, 28.1, 1 0 0
36.5, 2.459, 26.0, 1 1 -2
46.3, 1.962, 25.2, 1 2 -2
33.6, 2.667, 24.3, 2 0 0
44.8, 2.023, 23.0, 0 0 3
39.2, 2.298, 16.6, 2 1 -1

Crystal structure
Unit cell a=5.3507 b=5.6384 c=6.0883 alpha=90.00 beta=94.53 gamma=90.00
Space group P2_1/m (No. 11)
Symmetry-distinct sites (fractional):
Ca 0.1734 0.2500 0.1595
Ge 0.0914 0.7500 0.3679
Pt 0.3085 0.0042 0.6596
Pt 0.3450 0.7500 0.0534

---

# 2
For DyMgAgPd, a GGA-PBE-relaxed structure gives the simulated powder X-ray diffraction pattern in this record (CuKα).

Most intense lines, 2θ = 10–80°, by intensity:
Position (°2θ), d (Å), Rel. int., index
37.0, 2.430, 100.0, 2 2 0
66.7, 1.403, 34.4, 4 2 2
22.4, 3.968, 26.0, 1 1 1
53.3, 1.718, 17.1, 4 0 0
43.7, 2.072, 13.8, 3 1 1
78.8, 1.215, 10.7, 4 4 0
58.5, 1.577, 5.9, 3 3 1
71.3, 1.323, 4.4, 5 1 1
25.9, 3.436, 1.0, 2 0 0

Crystal structure
Unit cell a=6.8727 b=6.8727 c=6.8727 alpha=90.00 beta=90.00 gamma=90.00
Space group F-43m (No. 216)
Symmetry-distinct sites (fractional):
Dy 0.0000 0.0000 0.0000
Mg 0.0000 0.0000 0.5000
Ag 0.2500 0.2500 0.7500
Pd 0.2500 0.2500 0.2500

---

# 3
For Pm3Pr2Er3, a GGA-PBE-relaxed structure gives the simulated powder X-ray diffraction pattern in this record (CuKα).

Most intense lines, 2θ = 10–80°, by intensity:
Position (°2θ), d (Å), Rel. int., index
32.1, 2.784, 100.0, 1 0 -2
30.8, 2.902, 29.9, 2 0 0
28.1, 3.172, 28.3, 0 4 1
55.6, 1.652, 21.2, 3 0 -2
32.2, 2.777, 20.0, 1 0 2
59.8, 1.547, 18.2, 2 4 3
42.2, 2.142, 15.9, 2 4 -1
49.9, 1.829, 15.6, 0 4 3
60.5, 1.531, 13.2, 1 8 2
59.6, 1.551, 9.2, 2 8 0
49.7, 1.835, 7.9, 0 8 0
60.7, 1.527, 6.4, 1 0 4

Crystal structure
Unit cell a=5.8037 b=14.6819 c=6.3295 alpha=90.00 beta=90.07 gamma=90.00
Space group P2_1/m (No. 11)
Symmetry-distinct sites (fractional):
Pm 0.2494 0.1244 0.3353
Pm 0.2507 0.7500 0.8317
Pr 0.2498 0.6243 0.3290
Er 0.2502 0.0004 0.8349
Er 0.2499 0.2500 0.8384

---

# 4
For K2NaRu3O8, a GGA-PBE-relaxed structure gives the simulated powder X-ray diffraction pattern in this record (CuKα).

Most intense lines, 2θ = 10–80°, by intensity:
Position (°2θ), d (Å), Rel. int., index
14.4, 6.166, 100.0, 0 0 3
39.0, 2.309, 42.9, 0 2 4
34.0, 2.638, 36.3, 0 2 1
32.5, 2.754, 36.3, 1 1 3
17.3, 5.122, 30.4, 1 0 1
48.5, 1.877, 27.0, 0 2 7
52.4, 1.747, 22.7, 2 0 8
35.0, 2.561, 19.9, 2 0 2
60.1, 1.539, 19.9, 2 2 0
29.0, 3.083, 18.6, 0 0 6
29.4, 3.039, 18.3, 0 1 5
25.5, 3.493, 17.2, 1 0 4

Crystal structure
Unit cell a=6.1551 b=6.1551 c=18.4980 alpha=90.00 beta=90.00 gamma=120.00
Space group R3m (No. 160, hexagonal axes)
Symmetry-distinct sites (fractional):
K 0.0000 0.0000 0.0000
K 0.0000 0.0000 0.3582
Na 0.0000 0.0000 0.6105
Ru 0.0150 0.5075 0.4948
O 0.0000 0.0000 0.2154
O 0.0000 0.0000 0.7597
O 0.0331 0.5165 0.7797
O 0.1837 0.3674 0.5561

---

# 5
For Mg5HIr2, a GGA-PBE-relaxed structure gives the simulated powder X-ray diffraction pattern in this record (CuKα).

Most intense lines, 2θ = 10–80°, by intensity:
Position (°2θ), d (Å), Rel. int., index
24.8, 3.593, 100.0, 1 0 1
17.5, 5.055, 73.8, 1 0 0
23.0, 3.874, 68.2, 1 -1 0
38.6, 2.335, 59.1, 1 0 -2
17.0, 5.212, 57.1, 0 0 1
39.2, 2.296, 54.6, 0 2 -1
41.5, 2.178, 50.4, -1 2 1
42.3, 2.137, 48.3, 1 2 0
28.7, 3.109, 27.1, 1 -1 1
39.4, 2.289, 26.8, 2 0 -1
24.3, 3.665, 26.2, 1 0 -1
35.5, 2.527, 23.4, 2 0 0

Crystal structure
Unit cell a=5.1075 b=5.1166 c=5.2139 alpha=91.06 beta=90.89 gamma=98.53
Space group P1 (No. 1)
Symmetry-distinct sites (fractional):
Mg 0.0000 0.0000 0.0000
Mg 0.0715 0.3296 0.4545
Mg 0.3543 0.6443 0.9998
Mg 0.5539 0.1970 0.7352
Mg 0.6847 0.7133 0.4529
H 0.7625 0.4047 0.0852
Ir 0.1980 0.8424 0.5230
Ir 0.5395 0.1834 0.2250

---

Number 4 is which compound? K2NaRu3O8